Diffraction record for Tb2O3. The powder diffraction line list is simulated, not measured: it uses a DFT-relaxed cell (GGA-PBE, the Materials Project) and Cu Kα.
Lines closer than 0.1° are merged.

Top 10 peaks for 15 to 90 degrees two-theta, in order of rising 2θ:
2θ 15.86, I 9; 2θ 28.36, I 100; 2θ 32.03, I 10; 2θ 33.27, I 24; 2θ 40.02, I 9; 2θ 46.85, I 29; 2θ 47.76, I 17; 2θ 54.87, I 10; 2θ 56.48, I 29; 2θ 88.38, I 9

Structural model:
Unit cell a=3.8087 b=3.8087 c=5.5879 alpha=90.00 beta=90.00 gamma=90.00
Space group P-4m2 (No. 115)
Unique sites:
Tb1 0.0000 0.5000 0.2121 [2 per cell]
O1 0.0000 0.0000 0.0000 [1 per cell]
O2 0.0000 0.0000 0.5000 [1 per cell]
O3 0.5000 0.5000 0.0000 [1 per cell]

Diffraction record for TbO3. The powder diffraction line list is simulated, not measured: it uses a DFT-relaxed cell (GGA-PBE, the Materials Project) and Cu Kα.
Lines closer than 0.1° are merged.

Top 10 peaks for 15 to 90 degrees two-theta, in order of rising 2θ:
2θ 15.61, I 100; 2θ 27.22, I 62; 2θ 30.33, I 77; 2θ 41.20, I 45; 2θ 42.13, I 13; 2θ 48.10, I 21; 2θ 50.08, I 56; 2θ 60.70, I 14; 2θ 65.15, I 18; 2θ 78.53, I 13

Structural model:
Unit cell a=6.5532 b=6.5532 c=3.4478 alpha=90.00 beta=90.00 gamma=120.00
Space group P6_3/m (No. 176)
Unique sites:
Tb1 0.3333 0.6667 0.2500 [2 per cell]
O1 0.0585 0.4266 0.7500 [6 per cell]

Diffraction record for Tb2O3. The powder diffraction line list is simulated, not measured: it uses a DFT-relaxed cell (GGA-PBE, the Materials Project) and Cu Kα.
Lines closer than 0.1° are merged.

Top 10 peaks for 15 to 90 degrees two-theta, in order of rising 2θ:
2θ 28.48, I 89; 2θ 29.40, I 94; 2θ 30.05, I 98; 2θ 31.29, I 62; 2θ 31.84, I 95; 2θ 32.73, I 100; 2θ 42.59, I 51; 2θ 47.78, I 60; 2θ 51.73, I 50; 2θ 53.91, I 39

Structural model:
Unit cell a=14.1349 b=3.5349 c=8.7174 alpha=90.00 beta=100.32 gamma=90.00
Space group C2/m (No. 12)
Unique sites:
Tb1 0.0324 0.0000 0.3133 [4 per cell]
Tb2 0.1350 0.5000 0.9881 [4 per cell]
Tb3 0.1912 0.5000 0.6373 [4 per cell]
O1 0.0000 0.5000 0.5000 [2 per cell]
O2 0.0287 0.5000 0.1567 [4 per cell]
O3 0.1280 0.0000 0.7825 [4 per cell]
O4 0.1749 0.0000 0.4702 [4 per cell]
O5 0.2058 0.0000 0.1234 [4 per cell]

Diffraction record for Tb2Te4O11. The powder diffraction line list is simulated, not measured: it uses a DFT-relaxed cell (GGA-PBE, the Materials Project) and Cu Kα.
Lines closer than 0.1° are merged.

Top 10 peaks for 15 to 90 degrees two-theta, in order of rising 2θ:
2θ 26.46, I 100; 2θ 29.61, I 100; 2θ 33.35, I 21; 2θ 34.56, I 17; 2θ 40.75, I 14; 2θ 46.09, I 21; 2θ 48.60, I 17; 2θ 48.78, I 17; 2θ 53.69, I 13; 2θ 54.34, I 14

Structural model:
Unit cell a=5.1909 b=6.7800 c=16.1521 alpha=79.90 beta=80.75 gamma=67.49
Space group P1 (No. 1)
Unique sites:
Tb1 0.0000 0.0000 0.0000 [1 per cell]
Tb2 0.2210 0.1153 0.4270 [1 per cell]
Tb3 0.4982 0.5236 0.4951 [1 per cell]
Tb4 0.7276 0.6040 0.9201 [1 per cell]
Te1 0.0267 0.3506 0.6558 [1 per cell]
Te2 0.0352 0.6867 0.3350 [1 per cell]
Te3 0.2552 0.7688 0.7615 [1 per cell]
Te4 0.2908 0.4215 0.0862 [1 per cell]
Te5 0.4576 0.8555 0.1554 [1 per cell]
Te6 0.4626 0.1874 0.8389 [1 per cell]
Te7 0.6982 0.9257 0.5890 [1 per cell]
Te8 0.7138 0.2715 0.2665 [1 per cell]
O1 0.0078 0.0548 0.7120 [1 per cell]
O2 0.0261 0.6287 0.0094 [1 per cell]
O3 0.0489 0.6769 0.5856 [1 per cell]
O4 0.0597 0.1905 0.2885 [1 per cell]
O5 0.1178 0.2868 0.9106 [1 per cell]
O6 0.1765 0.1772 0.0896 [1 per cell]
O7 0.2018 0.7871 0.4059 [1 per cell]
O8 0.2545 0.2547 0.5584 [1 per cell]
O9 0.2981 0.8574 0.8620 [1 per cell]
O10 0.4219 0.7650 0.0592 [1 per cell]
O11 0.4658 0.3552 0.3667 [1 per cell]
O12 0.5201 0.8398 0.5178 [1 per cell]
O13 0.5423 0.4474 0.8346 [1 per cell]
O14 0.6139 0.3344 0.0178 [1 per cell]
O15 0.6619 0.4389 0.6266 [1 per cell]
O16 0.6645 0.9421 0.3375 [1 per cell]
O17 0.6748 0.9956 0.9181 [1 per cell]
O18 0.7134 0.5674 0.2075 [1 per cell]
O19 0.7843 0.9432 0.1265 [1 per cell]
O20 0.8096 0.1374 0.5019 [1 per cell]
O21 0.8858 0.5059 0.4158 [1 per cell]
O22 0.9669 0.6821 0.7954 [1 per cell]